(1)
Simulated powder XRD pattern of Rb2InSbF6 for Cu Kα (λ = 1.5418 Å), from a DFT-relaxed cell (PBE, the Materials Project).
Peak positions follow from Bragg's law for the DFT cell and can differ from measured ones.

Crystal structure
```
Rb2InSbF6
1.0
0.0000 4.8181 4.8181
4.8181 0.0000 4.8181
4.8181 4.8181 0.0000
Rb In Sb F
2 1 1 6
Direct
0.2500 0.2500 0.2500
0.7500 0.7500 0.7500
0.0000 0.0000 0.0000
0.5000 0.5000 0.5000
0.2709 0.2709 0.7291
0.2709 0.7291 0.2709
0.2709 0.7291 0.7291
0.7291 0.2709 0.2709
0.7291 0.2709 0.7291
0.7291 0.7291 0.2709
```

Main lines, low angle first (2θ = 15–90°):
Position (°2θ), intensity
18.41, 9.7
26.16, 100.0
37.33, 38.2
46.15, 41.6
53.82, 24.3
60.79, 19.7
73.55, 22.1
85.51, 11.0


(2)
Simulated powder XRD pattern of Rb2YInF6 for Cu Kα (λ = 1.5418 Å), from a DFT-relaxed cell (PBE, the Materials Project).
Peak positions follow from Bragg's law for the DFT cell and can differ from measured ones.

Crystal structure
```
Rb2YInF6
1.0
0.0000 4.8188 4.8188
4.8188 0.0000 4.8188
4.8188 4.8188 0.0000
Rb Y In F
2 1 1 6
Direct
0.2500 0.2500 0.2500
0.7500 0.7500 0.7500
0.0000 0.0000 0.0000
0.5000 0.5000 0.5000
0.2272 0.2272 0.7728
0.2272 0.7728 0.2272
0.2272 0.7728 0.7728
0.7728 0.2272 0.2272
0.7728 0.2272 0.7728
0.7728 0.7728 0.2272
```

Main lines, low angle first (2θ = 15–90°):
Position (°2θ), intensity
26.15, 100.0
37.32, 39.7
46.14, 41.0
53.81, 24.9
60.78, 19.8
67.31, 7.9
73.54, 22.0
85.49, 10.8


(3)
Simulated powder XRD pattern of InSb3F18 for Cu Kα (λ = 1.5418 Å), from a DFT-relaxed cell (PBE, the Materials Project).
Peak positions follow from Bragg's law for the DFT cell and can differ from measured ones.

Crystal structure
```
InSb3F18
1.0
9.0438 0.0000 0.0000
-4.5219 7.8322 0.0000
0.0000 0.0000 9.8064
In Sb F
2 6 36
Direct
0.0000 0.0000 0.0000
0.0000 0.0000 0.5000
0.0000 0.3463 0.2500
0.0000 0.6537 0.7500
0.3463 0.0000 0.2500
0.3463 0.3463 0.7500
0.6537 0.0000 0.7500
0.6537 0.6537 0.2500
0.0831 0.2153 0.3700
0.0831 0.8678 0.8700
0.0985 0.5307 0.3716
0.0985 0.5678 0.8716
0.1322 0.2153 0.8700
0.1322 0.9169 0.3700
0.2027 0.4206 0.1493
0.2027 0.7821 0.6493
0.2153 0.0831 0.1300
0.2153 0.1322 0.6300
0.2179 0.4206 0.6493
0.2179 0.7973 0.1493
0.4206 0.2027 0.3507
0.4206 0.2179 0.8507
0.4322 0.5307 0.8716
0.4322 0.9015 0.3716
0.4693 0.5678 0.3716
0.4693 0.9015 0.8716
0.5307 0.0985 0.1284
0.5307 0.4322 0.6284
0.5678 0.0985 0.6284
0.5678 0.4693 0.1284
0.5794 0.7821 0.1493
0.5794 0.7973 0.6493
0.7821 0.2027 0.8507
0.7821 0.5794 0.3507
0.7847 0.8678 0.3700
0.7847 0.9169 0.8700
0.7973 0.2179 0.3507
0.7973 0.5794 0.8507
0.8678 0.0831 0.6300
0.8678 0.7847 0.1300
0.9015 0.4322 0.1284
0.9015 0.4693 0.6284
0.9169 0.1322 0.1300
0.9169 0.7847 0.6300
```

Main lines, low angle first (2θ = 15–90°):
Position (°2θ), intensity
18.09, 19.3
21.38, 16.2
21.64, 100.0
26.82, 45.7
33.84, 22.8
34.35, 12.1
39.09, 22.7
51.11, 31.6


(4)
Simulated powder XRD pattern of Zr3InF15 for Cu Kα (λ = 1.5418 Å), from a DFT-relaxed cell (PBE, the Materials Project).
Peak positions follow from Bragg's law for the DFT cell and can differ from measured ones.

Crystal structure
```
Zr3InF15
1.0
6.1591 3.5560 3.7671
-6.1591 3.5560 3.7671
0.0000 -7.1119 3.7671
Zr In F
6 2 30
Direct
0.1806 0.7500 0.3194
0.2500 0.6806 0.8194
0.3194 0.1806 0.7500
0.6806 0.8194 0.2500
0.7500 0.3194 0.1806
0.8194 0.2500 0.6806
0.2500 0.2500 0.2500
0.7500 0.7500 0.7500
0.0199 0.7836 0.7787
0.0376 0.4624 0.7500
0.0482 0.1504 0.6756
0.1504 0.6756 0.0482
0.1756 0.6504 0.5482
0.2164 0.2213 0.9801
0.2213 0.9801 0.2164
0.2500 0.9624 0.5376
0.2787 0.2836 0.5199
0.2836 0.5199 0.2787
0.3244 0.9518 0.8496
0.3496 0.4518 0.8244
0.4518 0.8244 0.3496
0.4624 0.7500 0.0376
0.4801 0.7213 0.7164
0.5199 0.2787 0.2836
0.5376 0.2500 0.9624
0.5482 0.1756 0.6504
0.6504 0.5482 0.1756
0.6756 0.0482 0.1504
0.7164 0.4801 0.7213
0.7213 0.7164 0.4801
0.7500 0.0376 0.4624
0.7787 0.0199 0.7836
0.7836 0.7787 0.0199
0.8244 0.3496 0.4518
0.8496 0.3244 0.9518
0.9518 0.8496 0.3244
0.9624 0.5376 0.2500
0.9801 0.2164 0.2213
```

Main lines, low angle first (2θ = 15–90°):
Position (°2θ), intensity
22.93, 100.0
23.43, 28.2
27.76, 17.7
28.99, 18.5
31.25, 21.2
45.44, 20.6
45.82, 18.8
53.65, 18.1